For MnPt2, a DFT-relaxed cell (PBE, Alexandria) gives the theoretical powder diffractogram in this record (Cu Kα (λ = 1.5418 Å)).
Kinematic intensities with the Lorentz-polarization factor, no thermal factor.

Largest 8 diffraction maxima, most intense first, 2θ = 10–90°:
Position (°2θ), d (Å), I/Imax, hkl
42.1, 2.145, 100, 1 3 1
39.2, 2.298, 34, 0 0 2
38.4, 2.342, 22, 0 6 0
73.1, 1.295, 20, 1 3 3
43.4, 2.087, 19, 0 6 1
23.1, 3.846, 16, 0 2 1
56.1, 1.640, 15, 0 6 2
25.4, 3.513, 11, 0 4 0

Cell: 2.835 14.051 4.596 Å, 90.00 90.00 90.00°
Atoms (fractional coordinates):
Mn (0.000, 0.101, 0.250)
Mn (0.000, 0.899, 0.750)
Mn (0.500, 0.399, 0.750)
Mn (0.500, 0.601, 0.250)
Pt (0.000, 0.238, 0.750)
Pt (0.000, 0.439, 0.250)
Pt (0.000, 0.561, 0.750)
Pt (0.000, 0.762, 0.250)
Pt (0.500, 0.061, 0.750)
Pt (0.500, 0.262, 0.250)
Pt (0.500, 0.738, 0.750)
Pt (0.500, 0.939, 0.250)

For Pu2MnPt2, a DFT-relaxed cell (PBE, Alexandria) gives the theoretical powder diffractogram in this record (Cu Kα (λ = 1.5418 Å)).
Kinematic intensities with the Lorentz-polarization factor, no thermal factor.

Largest 8 diffraction maxima, most intense first, 2θ = 10–90°:
Position (°2θ), d (Å), I/Imax, hkl
35.6, 2.519, 100, 2 0 1
39.6, 2.275, 84, 0 2 0
69.3, 1.356, 30, 5 1 0
25.1, 3.551, 28, 1 1 -1
54.4, 1.687, 20, 2 2 1
45.1, 2.012, 19, 2 0 -3
61.3, 1.513, 15, 1 1 3
82.4, 1.171, 12, 3 1 -5

Cell: 7.889 4.545 6.064 Å, 90.00 115.77 90.00°
Atoms (fractional coordinates):
Pu (0.206, 0.000, 0.121)
Pu (0.294, 0.500, 0.879)
Pu (0.706, 0.500, 0.121)
Pu (0.794, 0.000, 0.879)
Mn (0.000, 0.000, 0.500)
Mn (0.500, 0.500, 0.500)
Pt (0.114, 0.500, 0.343)
Pt (0.386, 0.000, 0.657)
Pt (0.614, 0.000, 0.343)
Pt (0.886, 0.500, 0.657)

For Pu4MnPt3, a DFT-relaxed cell (PBE, Alexandria) gives the theoretical powder diffractogram in this record (Cu Kα (λ = 1.5418 Å)).
Kinematic intensities with the Lorentz-polarization factor, no thermal factor.

Largest 8 diffraction maxima, most intense first, 2θ = 10–90°:
Position (°2θ), d (Å), I/Imax, hkl
36.5, 2.461, 100, 2 0 1
36.2, 2.479, 69, 2 2 -1
36.6, 2.456, 33, 2 0 -3
65.3, 1.429, 25, 2 4 1
65.5, 1.426, 25, 4 2 0
52.1, 1.756, 12, 0 4 0
52.3, 1.749, 12, 4 0 -2
65.9, 1.417, 12, 2 2 3

Cell: 6.996 7.025 7.737 Å, 90.00 116.79 90.00°
Atoms (fractional coordinates):
Pu (0.126, 0.250, 0.252)
Pu (0.126, 0.750, 0.252)
Pu (0.374, 0.250, 0.748)
Pu (0.374, 0.750, 0.748)
Pu (0.626, 0.250, 0.252)
Pu (0.626, 0.750, 0.252)
Pu (0.874, 0.250, 0.748)
Pu (0.874, 0.750, 0.748)
Mn (0.000, 0.000, 0.500)
Mn (0.500, 0.500, 0.500)
Pt (0.000, 0.500, 0.500)
Pt (0.242, 0.000, 0.983)
Pt (0.258, 0.500, 0.017)
Pt (0.500, 0.000, 0.500)
Pt (0.742, 0.500, 0.983)
Pt (0.758, 0.000, 0.017)

For Mn2RePt, a DFT-relaxed cell (PBE, Alexandria) gives the theoretical powder diffractogram in this record (Cu Kα (λ = 1.5418 Å)).
Kinematic intensities with the Lorentz-polarization factor, no thermal factor.

Largest 8 diffraction maxima, most intense first, 2θ = 10–90°:
Position (°2θ), d (Å), I/Imax, hkl
41.2, 2.193, 100, 1 1 2
26.4, 3.378, 46, 1 0 1
48.6, 1.872, 31, 2 0 0
85.7, 1.133, 24, 3 1 2
69.5, 1.353, 21, 2 0 4
46.4, 1.959, 18, 0 0 4
42.2, 2.142, 14, 1 0 3
82.3, 1.171, 13, 1 1 6

Cell: 3.744 3.744 7.835 Å, 90.00 90.00 90.00°
Atoms (fractional coordinates):
Mn (0.000, 0.000, 0.000)
Mn (0.000, 0.500, 0.250)
Mn (0.500, 0.000, 0.750)
Mn (0.500, 0.500, 0.500)
Re (0.000, 0.500, 0.750)
Re (0.500, 0.000, 0.250)
Pt (0.000, 0.000, 0.500)
Pt (0.500, 0.500, 0.000)